Starting from DFT lattice parameters and positions (GGA-PBE), the powder diffractogram of CeThGeS was calculated for Cu Kα.
Lines closer than 0.1° are merged.

Top 10 peaks for 2θ from 10° to 90°, by angle:
Position (°2θ)  I_rel
26.10  42
26.66  13
30.39  100
43.15  38
43.87  36
51.44  14
53.69  20
71.23  17
72.28  16
79.63  13

Crystal structure
Unit cell a=7.113 b=7.113 c=7.113 alpha=34.28 beta=34.28 gamma=34.28
Fractional positions:
Ce  0.000  0.000  0.000
Th  0.495  0.495  0.495
Ge  0.249  0.249  0.249
S  0.747  0.747  0.747